No. 1
Starting from DFT lattice parameters and positions (PBE), the XRD peak list of CeSb2Au was calculated for copper Kα.

Largest 8 diffraction maxima, in order of rising 2θ, 2θ from 5° to 70°:
two_theta, intensity, index
8.80, 24, 0 0 1
33.47, 100, 1 1 2
35.72, 14, 0 0 4
39.16, 7, 1 1 3
40.32, 34, 2 0 0
54.95, 16, 2 0 4
58.34, 11, 2 2 0
68.95, 24, 3 1 2

Structure:
Lattice parameters (Å, degrees): 4.4739 4.4739 10.0533 90.00 90.00 90.00
Space group P4/nmm (No. 129, origin choice 2)
Symmetry-distinct sites (fractional):
Ce 0.2500 0.2500 0.2454 (multiplicity 2)
Sb 0.2500 0.2500 0.6833 (multiplicity 2)
Sb 0.2500 0.7500 0.0000 (multiplicity 2)
Au 0.2500 0.7500 0.5000 (multiplicity 2)


No. 2
Starting from DFT lattice parameters and positions (PBE), the XRD peak list of Sm4Tm4MgO12 was calculated for copper Kα.

Largest 8 diffraction maxima, in order of rising 2θ, 2θ from 5° to 70°:
two_theta, intensity, index
28.50, 18, 0 0 2
30.90, 54, 1 2 -1
31.09, 100, 2 0 0
32.35, 18, 1 0 -2
46.09, 15, 0 4 0
49.40, 19, 0 2 3
55.06, 15, 3 2 -1
55.43, 14, 3 2 1

Structure:
Lattice parameters (Å, degrees): 5.7567 7.8756 6.2647 90.00 90.79 90.00
Space group Pm (No. 6)
Symmetry-distinct sites (fractional):
Sm 0.0000 0.0000 0.0000 (multiplicity 1)
Sm 0.0237 0.5000 0.0694 (multiplicity 1)
Sm 0.5077 0.0000 0.3845 (multiplicity 1)
Sm 0.5617 0.5000 0.3440 (multiplicity 1)
Tm 0.0234 0.2064 0.4838 (multiplicity 2)
Tm 0.5301 0.2332 0.8917 (multiplicity 2)
Mg 0.1842 0.5000 0.6760 (multiplicity 1)
O 0.2030 0.0000 0.6711 (multiplicity 1)
O 0.2566 0.1951 0.1594 (multiplicity 2)
O 0.3913 0.3134 0.5731 (multiplicity 2)
O 0.4104 0.5000 0.9715 (multiplicity 1)
O 0.6851 0.0000 0.7389 (multiplicity 1)
O 0.7425 0.2329 0.2073 (multiplicity 2)
O 0.9263 0.3141 0.8005 (multiplicity 2)
O 0.9711 0.5000 0.4196 (multiplicity 1)